Computed PXRD pattern
Compound: Ti4ZnGa5
Radiation: copper Kα
Structure: a cell relaxed with GGA-PBE
Lines closer than 0.1° are merged.

Principal peaks in the range 2θ = 10–80°, by intensity:
two_theta	d (Å)	I_rel
35.9	2.504	100
49.7	1.835	56
46.8	1.942	31
33.2	2.697	27
44.5	2.034	26
40.5	2.229	26

Structural model:
Unit cell a=6.2149 b=6.2149 c=6.2149 alpha=100.85 beta=100.85 gamma=128.57
Atoms (fractional coordinates):
Ti 0.0629 0.3172 0.3801
Ti 0.3172 0.9371 0.2543
Ti 0.6828 0.0629 0.7457
Ti 0.9371 0.6828 0.6199
Zn 0.7670 0.7670 0.0000
Ga 0.2046 0.2046 0.0000
Ga 0.2512 0.5985 0.8509
Ga 0.4002 0.2512 0.6527
Ga 0.5985 0.7476 0.3473
Ga 0.7476 0.4002 0.1491